# Na3CdRh8O16
Calculated powder diffractogram, copper Kα. Input: a structure optimized by DFT (GGA-PBE).
No peak broadening, texture or thermal motion is included.

Crystal structure
Cell: 9.151 3.107 10.947 Å, 90.00 90.39 90.00°
Space group Pm (No. 6)
One atom of each set of equivalent atoms:
1 Na 0.000 0.000 0.000 x1
2 Na 0.027 0.500 0.500 x1
3 Na 0.501 0.000 0.816 x1
4 Cd 0.527 0.500 0.319 x1
5 Rh 0.175 0.500 0.761 x1
6 Rh 0.205 0.500 0.274 x1
7 Rh 0.319 0.000 0.040 x1
8 Rh 0.351 0.000 0.560 x1
9 Rh 0.676 0.500 0.054 x1
10 Rh 0.712 0.500 0.543 x1
11 Rh 0.820 0.000 0.775 x1
12 Rh 0.855 0.000 0.257 x1
13 O 0.069 0.000 0.318 x1
14 O 0.146 0.000 0.637 x1
15 O 0.181 0.500 0.087 x1
16 O 0.227 0.000 0.870 x1
17 O 0.307 0.500 0.444 x1
18 O 0.349 0.000 0.227 x1
19 O 0.377 0.500 0.682 x1
20 O 0.458 0.500 0.996 x1
21 O 0.566 0.000 0.492 x1
22 O 0.648 0.000 0.183 x1
23 O 0.681 0.500 0.728 x1
24 O 0.728 0.000 0.945 x1
25 O 0.794 0.500 0.366 x1
26 O 0.846 0.000 0.591 x1
27 O 0.880 0.500 0.134 x1
28 O 0.959 0.500 0.818 x1

Largest 12 diffraction maxima, sorted by position, 2θ = 10–90°:
- 4.575 Å, 2θ = 19.40°, I = 37, (2 0 0)
- 2.737 Å, 2θ = 32.72°, I = 49, (0 0 4)
- 2.672 Å, 2θ = 33.54°, I = 48, (3 0 -2)
- 2.657 Å, 2θ = 33.74°, I = 45, (3 0 2)
- 2.592 Å, 2θ = 34.61°, I = 100, (1 1 -2)
- 2.570 Å, 2θ = 34.91°, I = 43, (2 1 0)
- 1.877 Å, 2θ = 48.49°, I = 15, (2 1 -4)
- 1.870 Å, 2θ = 48.68°, I = 26, (2 1 4)
- 1.842 Å, 2θ = 49.48°, I = 23, (4 1 0)
- 1.553 Å, 2θ = 59.53°, I = 31, (0 2 0)
- 1.532 Å, 2θ = 60.42°, I = 15, (4 1 -4)
- 1.525 Å, 2θ = 60.74°, I = 18, (6 0 0)

# Na2CdS2O8
Calculated powder diffractogram, copper Kα. Input: a structure optimized by DFT (GGA-PBE).
No peak broadening, texture or thermal motion is included.

Crystal structure
Cell: 10.225 8.338 8.827 Å, 90.00 114.62 90.00°
Space group C2/c (No. 15)
One atom of each set of equivalent atoms:
1 Na 0.138 0.056 0.439 x8
2 Cd 0.000 0.430 0.750 x4
3 S 0.189 0.288 0.186 x8
4 O 0.114 0.131 0.135 x8
5 O 0.137 0.408 0.050 x8
6 O 0.152 0.229 0.752 x8
7 O 0.159 0.351 0.329 x8

Largest 12 diffraction maxima, sorted by position, 2θ = 10–90°:
- 6.207 Å, 2θ = 14.27°, I = 100, (1 1 0)
- 4.012 Å, 2θ = 22.16°, I = 57, (0 0 2)
- 3.900 Å, 2θ = 22.80°, I = 40, (1 1 -2)
- 3.211 Å, 2θ = 27.79°, I = 63, (2 2 -1)
- 3.153 Å, 2θ = 28.30°, I = 35, (3 1 -1)
- 3.103 Å, 2θ = 28.77°, I = 36, (2 2 0)
- 3.009 Å, 2θ = 29.69°, I = 38, (1 1 2)
- 2.872 Å, 2θ = 31.14°, I = 51, (2 2 -2)
- 2.750 Å, 2θ = 32.56°, I = 30, (1 1 -3)
- 2.442 Å, 2θ = 36.80°, I = 26, (3 1 1)
- 2.154 Å, 2θ = 41.95°, I = 26, (3 3 -1)
- 2.018 Å, 2θ = 44.93°, I = 27, (0 4 1)

# Na2CdPb
Calculated powder diffractogram, copper Kα. Input: a structure optimized by DFT (GGA-PBE).
No peak broadening, texture or thermal motion is included.

Crystal structure
Cell: 7.504 7.504 7.504 Å, 90.00 90.00 90.00°
Space group F-43m (No. 216)
One atom of each set of equivalent atoms:
1 Na 0.000 0.000 0.000 x4
2 Na 0.250 0.250 0.250 x4
3 Cd 0.250 0.250 0.750 x4
4 Pb 0.000 0.000 0.500 x4

Largest 12 diffraction maxima, sorted by position, 2θ = 10–90°:
- 4.332 Å, 2θ = 20.50°, I = 67, (1 1 1)
- 3.752 Å, 2θ = 23.72°, I = 7, (2 0 0)
- 2.653 Å, 2θ = 33.79°, I = 100, (2 2 0)
- 2.262 Å, 2θ = 39.85°, I = 38, (3 1 1)
- 1.876 Å, 2θ = 48.53°, I = 18, (4 0 0)
- 1.721 Å, 2θ = 53.21°, I = 17, (3 3 1)
- 1.532 Å, 2θ = 60.44°, I = 37, (4 2 2)
- 1.444 Å, 2θ = 64.53°, I = 13, (5 1 1)
- 1.326 Å, 2θ = 71.07°, I = 11, (4 4 0)
- 1.268 Å, 2θ = 74.86°, I = 13, (5 3 1)
- 1.186 Å, 2θ = 81.05°, I = 16, (6 2 0)
- 1.144 Å, 2θ = 84.71°, I = 5, (5 3 3)

# NaCd2Pd
Calculated powder diffractogram, copper Kα. Input: a structure optimized by DFT (GGA-PBE).
No peak broadening, texture or thermal motion is included.

Crystal structure
Cell: 6.825 6.825 6.825 Å, 90.00 90.00 90.00°
Space group Fm-3m (No. 225)
One atom of each set of equivalent atoms:
1 Na 0.000 0.000 0.000 x4
2 Cd 0.250 0.250 0.250 x8
3 Pd 0.000 0.000 0.500 x4

Largest 12 diffraction maxima, sorted by position, 2θ = 10–90°:
- 3.941 Å, 2θ = 22.56°, I = 13, (1 1 1)
- 3.413 Å, 2θ = 26.11°, I = 9, (2 0 0)
- 2.413 Å, 2θ = 37.26°, I = 100, (2 2 0)
- 2.058 Å, 2θ = 44.00°, I = 7, (3 1 1)
- 1.970 Å, 2θ = 46.07°, I = 3, (2 2 2)
- 1.706 Å, 2θ = 53.72°, I = 17, (4 0 0)
- 1.566 Å, 2θ = 58.99°, I = 3, (3 3 1)
- 1.526 Å, 2θ = 60.68°, I = 3, (4 2 0)
- 1.393 Å, 2θ = 67.19°, I = 33, (4 2 2)
- 1.314 Å, 2θ = 71.87°, I = 2, (5 1 1)
- 1.207 Å, 2θ = 79.42°, I = 10, (4 4 0)
- 1.154 Å, 2θ = 83.86°, I = 2, (5 3 1)

# Na2CdSnS4
Calculated powder diffractogram, copper Kα. Input: a structure optimized by DFT (GGA-PBE).
No peak broadening, texture or thermal motion is included.

Crystal structure
Cell: 9.004 10.498 6.467 Å, 90.00 133.80 90.00°
Space group C2 (No. 5)
One atom of each set of equivalent atoms:
1 Na 0.000 0.000 0.000 x2
2 Na 0.000 0.254 0.500 x2
3 Cd 0.000 0.487 0.000 x2
4 Sn 0.000 0.737 0.500 x2
5 S 0.212 0.612 0.472 x4
6 S 0.230 0.860 0.940 x4

Largest 12 diffraction maxima, sorted by position, 2θ = 10–90°:
- 5.515 Å, 2θ = 16.07°, I = 100, (1 1 0)
- 3.488 Å, 2θ = 25.54°, I = 72, (0 2 1)
- 3.417 Å, 2θ = 26.08°, I = 74, (2 2 -1)
- 3.079 Å, 2θ = 29.00°, I = 15, (1 3 -1)
- 2.334 Å, 2θ = 38.58°, I = 20, (0 0 2)
- 2.251 Å, 2θ = 40.05°, I = 30, (4 0 -2)
- 2.042 Å, 2θ = 44.37°, I = 27, (2 4 0)
- 2.037 Å, 2θ = 44.47°, I = 27, (2 4 -2)
- 1.931 Å, 2θ = 47.06°, I = 13, (2 2 1)
- 1.923 Å, 2θ = 47.26°, I = 13, (2 2 -3)
- 1.895 Å, 2θ = 48.01°, I = 12, (4 2 -1)
- 1.888 Å, 2θ = 48.21°, I = 12, (4 2 -3)